1.
This entry pairs a crystal structure of MgFe6O6F6 with its simulated powder XRD pattern. Radiation: Cu Ka. Structure: a DFT-relaxed cell (GGA+U, the Materials Project).
Neutral-atom scattering factors, no anomalous dispersion.

Cell and atoms:
```
MgFe6O6F6
1.0
5.1580 0.0000 0.0000
-0.1321 5.5088 0.0000
-0.0300 -0.0072 8.7092
Mg Fe O F
1 6 6 6
direct
0.0000 0.0000 0.0000
0.0572 0.4750 0.8255
0.0660 0.4613 0.1922
0.4384 0.9610 0.3370
0.4415 0.9662 0.6834
0.5143 0.2280 0.0125
0.9343 0.6378 0.5107
0.1855 0.6963 0.3410
0.1910 0.7061 0.6701
0.2609 0.1705 0.1841
0.2737 0.1532 0.8446
0.6658 0.8707 0.5059
0.8629 0.3532 0.0134
0.2016 0.7025 0.0269
0.2863 0.1551 0.5074
0.7050 0.9239 0.1666
0.7291 0.8948 0.8399
0.7858 0.3905 0.6518
0.7869 0.4038 0.3408
```

Most intense lines, 10 to 90 degrees two-theta, by angle:
2θ (°)	d_spacing	I/Imax	(hkl)
19.06	4.656	679	0 1 -1
23.35	3.810	1000	1 -1 0
23.92	3.720	962	1 1 0
26.04	3.421	282	1 1 -1
31.19	2.868	413	-1 1 2
34.94	2.568	264	0 1 3
35.54	2.526	256	1 0 3
38.11	2.361	396	1 -2 1
38.68	2.328	379	0 2 -2
38.84	2.319	255	1 2 1

***

2.
This entry pairs a crystal structure of MgFe8O14F2 with its simulated powder XRD pattern. Radiation: Cu Ka. Structure: a DFT-relaxed cell (GGA+U, the Materials Project).
Neutral-atom scattering factors, no anomalous dispersion.

Cell and atoms:
```
MgFe8O14F2
1.0
4.7840 0.0000 0.0000
0.0208 4.8499 0.0000
0.0156 0.0195 11.8721
Mg Fe O F
1 8 14 2
direct
0.0000 0.0000 0.0000
0.0010 0.4791 0.5062
0.0020 0.4763 0.7486
0.0068 0.4810 0.2486
0.4684 0.9481 0.3786
0.4999 0.9623 0.8595
0.5020 0.9657 0.1410
0.5020 0.9809 0.6209
0.9416 0.5062 0.9996
0.1478 0.7126 0.1161
0.1477 0.7138 0.8836
0.1752 0.6527 0.3810
0.1906 0.6651 0.6219
0.3048 0.1665 0.2573
0.3096 0.1574 0.4991
0.3168 0.1737 0.7431
0.6495 0.7909 0.0000
0.6743 0.7631 0.2608
0.6825 0.7909 0.4994
0.6845 0.7762 0.7388
0.8129 0.2878 0.6206
0.8271 0.2619 0.1184
0.8288 0.2622 0.8821
0.3296 0.2168 0.0006
0.8035 0.2783 0.3776
```

Most intense lines, 10 to 90 degrees two-theta, by angle:
2θ (°)	d_spacing	I/Imax	(hkl)
26.11	3.413	1000	1 1 0
26.22	3.399	964	1 -1 0
35.46	2.532	486	0 1 4
35.60	2.522	498	1 0 4
40.34	2.236	212	-1 1 4
52.22	1.752	182	1 2 4
52.38	1.747	544	-1 2 4
52.68	1.738	354	2 1 -4
53.71	1.707	188	2 2 0
66.57	1.405	226	3 0 4

***

3.
This entry pairs a crystal structure of MgFe6O6F6 with its simulated powder XRD pattern. Radiation: Cu Ka. Structure: a DFT-relaxed cell (GGA+U, the Materials Project).
Neutral-atom scattering factors, no anomalous dispersion.

Cell and atoms:
```
MgFe6O6F6
1.0
4.8771 0.0000 0.0000
0.1456 5.6921 0.0000
0.5013 0.9376 7.8734
Mg Fe O F
1 6 6 6
direct
0.0000 0.0000 0.0000
0.0095 0.7832 0.6822
0.0487 0.1462 0.3944
0.0569 0.4748 0.0763
0.5096 0.3065 0.7281
0.5166 0.9373 0.0267
0.5317 0.6322 0.3774
0.2667 0.4087 0.2956
0.2963 0.2316 0.9430
0.3212 0.5855 0.6056
0.7597 0.7041 0.1498
0.7640 0.0130 0.8015
0.8414 0.8541 0.4789
0.2226 0.7503 0.9041
0.2604 0.0820 0.6037
0.2953 0.9146 0.2650
0.7476 0.3496 0.4945
0.7987 0.5077 0.8091
0.8233 0.1737 0.1771
```

Most intense lines, 10 to 90 degrees two-theta, by angle:
2θ (°)	d_spacing	I/Imax	(hkl)
25.17	3.539	1000	1 1 1
26.57	3.355	970	-1 1 1
33.98	2.638	317	1 -1 2
34.16	2.624	248	0 0 3
34.98	2.565	275	0 2 -1
35.18	2.551	343	1 1 -2
36.91	2.435	264	0 2 2
51.69	1.769	516	2 -2 1
51.87	1.763	247	2 2 -1
54.71	1.678	216	-2 2 2

***

4.
This entry pairs a crystal structure of MgFe6O6F6 with its simulated powder XRD pattern. Radiation: Cu Ka. Structure: a DFT-relaxed cell (GGA+U, the Materials Project).
Neutral-atom scattering factors, no anomalous dispersion.

Cell and atoms:
```
MgFe6O6F6
1.0
5.7353 0.0000 0.0000
-2.2352 5.5040 0.0000
-0.8088 -2.9336 7.1537
Mg Fe O F
1 6 6 6
direct
0.0000 0.0000 0.0000
0.3183 0.5178 0.3395
0.3712 0.9143 0.7780
0.6019 0.0108 0.1737
0.6894 0.5132 0.6382
0.9765 0.9903 0.4707
0.9838 0.4775 0.9740
0.0438 0.1640 0.2906
0.2442 0.8274 0.9832
0.4190 0.6330 0.6094
0.6198 0.8161 0.3403
0.7163 0.1273 0.9544
0.9869 0.8401 0.6741
0.0770 0.6816 0.2971
0.2692 0.3537 0.0480
0.3916 0.1608 0.6275
0.5917 0.3513 0.3626
0.7169 0.6321 0.9154
0.9091 0.3125 0.6588
```

Most intense lines, 10 to 90 degrees two-theta, by angle:
2θ (°)	d_spacing	I/Imax	(hkl)
23.56	3.777	1000	-1 1 1
27.41	3.254	891	1 1 -1
33.93	2.642	354	1 0 2
34.52	2.598	218	1 -2 2
34.70	2.585	320	2 -1 1
34.97	2.566	332	0 1 -3
35.25	2.546	258	0 2 0
49.61	1.838	410	1 0 -4
54.23	1.691	184	1 2 -4
60.59	1.528	243	2 -2 4

***

5.
This entry pairs a crystal structure of MgFe4O4F4 with its simulated powder XRD pattern. Radiation: Cu Ka. Structure: a DFT-relaxed cell (GGA+U, the Materials Project).
Neutral-atom scattering factors, no anomalous dispersion.

Cell and atoms:
```
MgFe4O4F4
1.0
5.3520 0.0000 0.0000
-0.3300 5.4866 0.0000
-0.3303 -0.3386 5.8074
Mg Fe O F
1 4 4 4
direct
0.0000 0.0000 0.0000
0.5108 0.8820 0.9942
0.5182 0.9219 0.4938
0.8358 0.4414 0.7371
0.9938 0.5819 0.2801
0.2576 0.8687 0.2432
0.6882 0.1154 0.7595
0.6924 0.6296 0.4982
0.7926 0.6717 0.9878
0.1161 0.3390 0.0069
0.1231 0.3939 0.5522
0.2242 0.8860 0.7403
0.7366 0.0960 0.2603
```

Most intense lines, 10 to 90 degrees two-theta, by angle:
2θ (°)	d_spacing	I/Imax	(hkl)
16.18	5.477	428	0 1 0
16.62	5.333	311	1 0 0
22.52	3.948	1000	1 -1 0
22.96	3.874	227	0 1 1
24.02	3.705	893	1 1 0
32.70	2.739	317	0 2 0
34.10	2.630	250	0 1 -2
35.87	2.503	311	1 -2 0
38.48	2.339	547	-1 1 2
47.73	1.906	257	-2 1 2

***

6.
This entry pairs a crystal structure of MgFe10O9F11 with its simulated powder XRD pattern. Radiation: Cu Ka. Structure: a DFT-relaxed cell (GGA+U, the Materials Project).
Neutral-atom scattering factors, no anomalous dispersion.

Cell and atoms:
```
MgFe10O9F11
1.0
4.8922 0.0000 0.0000
-0.5457 4.9054 0.0000
-0.0439 -0.0262 15.5011
Mg Fe O F
1 10 9 11
direct
0.0000 0.0000 0.0000
0.0116 0.5111 0.0011
0.4525 0.9699 0.3081
0.4705 0.9750 0.6909
0.4743 0.9705 0.4980
0.4815 0.9619 0.8816
0.5051 0.9132 0.1060
0.9664 0.4687 0.3934
0.9721 0.4750 0.7901
0.9726 0.4729 0.5929
0.9807 0.5130 0.1944
0.2655 0.7692 0.4006
0.2716 0.7713 0.5928
0.2733 0.7506 0.7838
0.3127 0.7798 0.2047
0.3262 0.8045 0.9958
0.6669 0.1732 0.3970
0.6692 0.1904 0.7877
0.6715 0.1736 0.5930
0.8229 0.7349 0.0903
0.1325 0.2588 0.9003
0.1554 0.2738 0.6901
0.1569 0.2852 0.4941
0.1629 0.2719 0.3006
0.1770 0.2548 0.0920
0.6709 0.1972 0.1962
0.6854 0.2092 0.0029
0.7768 0.6792 0.3033
0.7797 0.6578 0.4946
0.7843 0.6654 0.6900
0.8300 0.7128 0.8981
```

Most intense lines, 10 to 90 degrees two-theta, by angle:
2θ (°)	d_spacing	I/Imax	(hkl)
24.31	3.662	1000	1 -1 0
27.21	3.277	813	1 1 0
34.23	2.620	729	1 0 -5
34.35	2.610	240	1 0 5
38.03	2.366	169	1 -1 5
49.42	1.844	372	-1 2 5
49.57	1.839	153	-2 1 5
49.81	1.831	220	2 -2 0
52.75	1.735	241	1 2 5
59.65	1.550	154	0 0 10

***

7.
This entry pairs a crystal structure of MgFe4O4F4 with its simulated powder XRD pattern. Radiation: Cu Ka. Structure: a DFT-relaxed cell (GGA+U, the Materials Project).
Neutral-atom scattering factors, no anomalous dispersion.

Cell and atoms:
```
MgFe4O4F4
1.0
5.3434 0.0000 0.0000
0.2021 5.8109 0.0000
1.9541 0.0604 5.4929
Mg Fe O F
1 4 4 4
direct
0.0000 0.0000 0.0000
0.0854 0.5161 0.2222
0.1091 0.0065 0.4662
0.5647 0.7810 0.8626
0.5740 0.2212 0.5955
0.2549 0.8413 0.1684
0.3258 0.9732 0.6795
0.8012 0.0878 0.7674
0.8851 0.2011 0.2993
0.3292 0.3202 0.3884
0.3863 0.4443 0.8491
0.8381 0.6912 0.0544
0.8642 0.6761 0.5537
```

Most intense lines, 10 to 90 degrees two-theta, by angle:
2θ (°)	d_spacing	I/Imax	(hkl)
19.53	4.545	852	1 0 1
22.15	4.014	1000	0 1 1
25.30	3.520	535	1 -1 1
27.76	3.213	598	1 0 -1
35.22	2.548	944	1 2 0
43.26	2.091	677	2 -1 2
45.41	1.997	523	-1 1 2
54.41	1.686	293	2 2 -1
55.51	1.656	255	3 1 2
64.05	1.454	244	1 0 4

***

8.
This entry pairs a crystal structure of MgFe6O6F6 with its simulated powder XRD pattern. Radiation: Cu Ka. Structure: a DFT-relaxed cell (GGA+U, the Materials Project).
Neutral-atom scattering factors, no anomalous dispersion.

Cell and atoms:
```
MgFe6O6F6
1.0
5.0439 0.0000 0.0000
0.0000 3.0882 0.0000
-0.4480 0.0000 14.3628
Mg Fe O F
1 6 6 6
direct
0.0000 0.0000 0.0000
0.0866 0.5000 0.4983
0.1105 0.5000 0.8157
0.5030 0.0000 0.0061
0.5150 0.0000 0.3412
0.5290 0.0000 0.6582
0.9410 0.5000 0.1892
0.2229 0.0000 0.4354
0.2488 0.5000 0.9467
0.2840 0.0000 0.7652
0.3668 0.5000 0.5994
0.7596 0.5000 0.0454
0.7684 0.0000 0.2495
0.2026 0.0000 0.1189
0.3082 0.5000 0.2804
0.7104 0.5000 0.4145
0.7707 0.5000 0.7212
0.8511 0.0000 0.8704
0.8659 0.0000 0.5679
```

Most intense lines, 10 to 90 degrees two-theta, by angle:
2θ (°)	d_spacing	I/Imax	(hkl)
25.25	3.527	817	1 0 -3
26.06	3.419	1000	1 0 3
34.04	2.633	532	1 1 0
34.56	2.595	670	0 1 3
50.02	1.824	271	2 1 -3
50.93	1.793	366	2 1 3
52.05	1.757	285	1 1 6
53.62	1.709	254	2 0 6
59.90	1.544	229	0 2 0
65.88	1.418	192	0 1 9

***

9.
This entry pairs a crystal structure of MgFe6O6F6 with its simulated powder XRD pattern. Radiation: Cu Ka. Structure: a DFT-relaxed cell (GGA+U, the Materials Project).
Neutral-atom scattering factors, no anomalous dispersion.

Cell and atoms:
```
MgFe6O6F6
1.0
4.9358 0.0000 0.0000
0.3633 5.7793 0.0000
0.1414 0.9958 7.7854
Mg Fe O F
1 6 6 6
direct
0.0000 0.0000 0.0000
0.0000 0.5000 0.0000
0.0205 0.8041 0.6289
0.4758 0.6613 0.3109
0.5000 0.0000 0.0000
0.5242 0.3387 0.6891
0.9795 0.1959 0.3711
0.1992 0.5381 0.7704
0.2094 0.8891 0.4230
0.2613 0.7320 0.0886
0.7387 0.2680 0.9114
0.7906 0.1109 0.5770
0.8008 0.4619 0.2296
0.2130 0.2149 0.1181
0.2513 0.0445 0.7838
0.2951 0.3748 0.4429
0.7049 0.6252 0.5571
0.7487 0.9555 0.2162
0.7870 0.7851 0.8819
```

Most intense lines, 10 to 90 degrees two-theta, by angle:
2θ (°)	d_spacing	I/Imax	(hkl)
24.80	3.590	1000	1 1 1
26.33	3.385	892	-1 1 1
34.23	2.619	298	1 1 -2
34.56	2.595	246	0 0 3
34.69	2.586	296	0 2 -1
35.01	2.563	280	1 -1 2
36.49	2.462	226	0 2 2
49.80	1.831	238	2 2 -1
50.87	1.795	446	2 2 2
52.63	1.739	226	2 -2 1

***

10.
This entry pairs a crystal structure of MgFe4O4F4 with its simulated powder XRD pattern. Radiation: Cu Ka. Structure: a DFT-relaxed cell (GGA+U, the Materials Project).
Neutral-atom scattering factors, no anomalous dispersion.

Cell and atoms:
```
MgFe4O4F4
1.0
3.0512 0.0000 0.0000
-0.1205 6.7361 0.0000
-0.0720 -0.0744 7.7229
Mg Fe O F
1 4 4 4
direct
0.0000 0.0000 0.0000
0.4899 0.7724 0.2908
0.4949 0.2566 0.7669
0.9767 0.2477 0.2870
0.9874 0.7722 0.6930
0.4912 0.9504 0.8150
0.5020 0.0498 0.1970
0.9928 0.7913 0.4383
0.9985 0.2801 0.9187
0.4625 0.4602 0.2944
0.4851 0.5501 0.7074
0.9802 0.2282 0.5682
0.9837 0.7276 0.1000
```

Most intense lines, 10 to 90 degrees two-theta, by angle:
2θ (°)	d_spacing	I/Imax	(hkl)
23.03	3.861	1000	0 0 2
26.47	3.368	828	0 2 0
34.03	2.635	304	-1 1 1
34.14	2.627	255	1 -1 1
34.65	2.589	281	1 1 1
35.19	2.550	273	0 2 -2
47.91	1.899	304	-1 1 3
48.67	1.871	278	1 1 3
51.49	1.775	305	-1 3 1
54.50	1.684	250	0 4 0

***

11.
This entry pairs a crystal structure of MgFe8O14F2 with its simulated powder XRD pattern. Radiation: Cu Ka. Structure: a DFT-relaxed cell (GGA+U, the Materials Project).
Neutral-atom scattering factors, no anomalous dispersion.

Cell and atoms:
```
MgFe8O14F2
1.0
5.8063 0.0000 0.0000
2.4391 6.7478 0.0000
2.3961 -0.3846 7.1597
Mg Fe O F
1 8 14 2
direct
0.0000 0.0000 0.0000
0.0237 0.4945 0.5037
0.2733 0.2318 0.7337
0.3554 0.7235 0.6943
0.4299 0.5153 0.0622
0.5040 0.9972 0.9992
0.6995 0.2703 0.3047
0.7526 0.7419 0.2635
0.9575 0.9935 0.5360
0.1029 0.5555 0.2470
0.1238 0.7047 0.5586
0.1462 0.0063 0.7066
0.1876 0.1871 0.9990
0.3604 0.3076 0.4857
0.3637 0.7815 0.9544
0.6108 0.0573 0.7289
0.6224 0.2172 0.0777
0.6385 0.5241 0.2140
0.6884 0.6800 0.5271
0.8152 0.8150 0.0015
0.8534 0.9881 0.3067
0.9040 0.2789 0.4529
0.9587 0.4199 0.7469
0.3873 0.9357 0.2824
0.3918 0.4617 0.8137
```

Most intense lines, 10 to 90 degrees two-theta, by angle:
2θ (°)	d_spacing	I/Imax	(hkl)
24.18	3.681	1000	1 0 -1
27.26	3.272	867	1 2 1
35.60	2.522	203	0 2 -2
35.83	2.506	427	2 2 0
36.15	2.485	461	1 -2 1
51.02	1.790	146	0 0 4
51.26	1.782	158	2 -2 0
54.50	1.684	299	0 4 0
56.23	1.636	192	2 4 2
64.03	1.454	146	2 -2 4